This entry pairs a crystal structure of FeSi4O10 with its theoretical XRD peak list. Radiation: Cu Kα (λ = 1.5418 Å). Structure: a DFT-relaxed cell (PBE+U, Alexandria).
Kinematic intensities with the Lorentz-polarization factor, no thermal factor.

The 12 most intense peaks (2θ = 15–90°), in order of falling intensity:
22.03°, intensity 100, hkl 0 0 4
29.30°, intensity 65, hkl 2 1 2
25.17°, intensity 48, hkl 1 0 4
17.03°, intensity 36, hkl 1 1 0
26.62°, intensity 32, hkl 2 0 2
24.18°, intensity 30, hkl 2 0 0
27.65°, intensity 24, hkl 2 1 1
46.69°, intensity 16, hkl 1 0 8
69.77°, intensity 13, hkl 5 2 2
49.52°, intensity 12, hkl 4 0 0
27.98°, intensity 11, hkl 1 1 4
41.59°, intensity 11, hkl 2 0 6

Crystal structure
abc: 7.362 7.362 16.138
angles: 90.00 90.00 90.00
Space group P4/ncc (No. 130, origin choice 2)
Unique sites:
Fe 0.250 0.250 0.093 (multiplicity 4)
Si 0.008 0.071 0.347 (multiplicity 16)
O 0.002 0.712 0.632 (multiplicity 16)
O 0.026 0.147 0.096 (multiplicity 16)
O 0.035 0.535 0.250 (multiplicity 8)